1.
Simulated X-ray powder pattern of Cr3Mo for Cu Ka, from a cell relaxed with PBE.

Structure:
```
data_Cr3Mo
_chemical_formula_sum 'Cr6 Mo2'
_space_group_name_H-M_alt 'P 1'
_space_group_IT_number 1
_space_group_name_Hall 'P 1'
_cell_length_a 5.120
_cell_length_b 5.120
_cell_length_c 4.177
_cell_angle_alpha 90.00
_cell_angle_beta 90.00
_cell_angle_gamma 109.46
loop_
_atom_site_label
_atom_site_fract_x
_atom_site_fract_y
_atom_site_fract_z
_atom_site_occupancy
Cr1 0.121 0.879 0.750 1
Cr2 0.122 0.370 0.750 1
Cr3 0.370 0.122 0.250 1
Cr4 0.630 0.878 0.750 1
Cr5 0.878 0.630 0.250 1
Cr6 0.879 0.121 0.250 1
Mo1 0.371 0.629 0.250 1
Mo2 0.629 0.371 0.750 1
```

The 10 most intense peaks (2θ = 10–90°), most intense first:
2θ (°)  I_rel
43.29  1000
79.43  293
62.89  150
28.25  42
30.24  40
18.38  31
71.36  15
35.61  12
57.27  12
53.72  11



2.
Simulated X-ray powder pattern of Be2InSi for Cu Ka, from a cell relaxed with PBE.

Structure:
```
data_Be2InSi
_chemical_formula_sum 'Be2 In1 Si1'
_space_group_name_H-M_alt 'P 1'
_space_group_IT_number 1
_space_group_name_Hall 'P 1'
_cell_length_a 3.629
_cell_length_b 3.629
_cell_length_c 5.712
_cell_angle_alpha 95.33
_cell_angle_beta 95.33
_cell_angle_gamma 60.07
loop_
_atom_site_label
_atom_site_fract_x
_atom_site_fract_y
_atom_site_fract_z
_atom_site_occupancy
Be1 0.000 0.000 0.000 1
Be2 0.667 0.667 0.005 1
In1 0.329 0.329 0.356 1
Si1 0.318 0.318 0.824 1
```

The 10 most intense peaks (2θ = 10–90°), most intense first:
2θ (°)  I_rel
28.42  1000
15.60  628
28.57  492
31.50  386
41.71  382
31.81  327
44.13  321
33.33  297
50.51  246
40.58  208



3.
Simulated X-ray powder pattern of Zr2Sc5Al4 for Cu Ka, from a cell relaxed with PBE.

Structure:
```
data_Zr2Sc5Al4
_chemical_formula_sum 'Zr2 Sc5 Al4'
_space_group_name_H-M_alt 'P 1'
_space_group_IT_number 1
_space_group_name_Hall 'P 1'
_cell_length_a 7.846
_cell_length_b 2.993
_cell_length_c 9.847
_cell_angle_alpha 90.00
_cell_angle_beta 96.24
_cell_angle_gamma 90.00
loop_
_atom_site_label
_atom_site_fract_x
_atom_site_fract_y
_atom_site_fract_z
_atom_site_occupancy
Zr1 0.081 0.000 0.140 1
Zr2 0.919 0.000 0.860 1
Sc1 0.168 0.000 0.651 1
Sc2 0.455 0.000 0.171 1
Sc3 0.500 0.000 0.500 1
Sc4 0.545 0.000 0.829 1
Sc5 0.832 0.000 0.349 1
Al1 0.186 0.500 0.388 1
Al2 0.251 0.500 0.930 1
Al3 0.749 0.500 0.070 1
Al4 0.814 0.500 0.612 1
```

The 10 most intense peaks (2θ = 10–90°), most intense first:
2θ (°)  I_rel
37.86  1000
37.32  907
37.69  743
29.86  634
11.34  600
34.72  498
13.73  447
36.40  414
41.15  394
36.72  381



4.
Simulated X-ray powder pattern of Ac6LaPm for Cu Ka, from a cell relaxed with PBE.

Structure:
```
data_Ac6LaPm
_chemical_formula_sum 'Ac6 La1 Pm1'
_space_group_name_H-M_alt 'P 1'
_space_group_IT_number 1
_space_group_name_Hall 'P 1'
_cell_length_a 5.540
_cell_length_b 5.540
_cell_length_c 11.087
_cell_angle_alpha 90.00
_cell_angle_beta 90.00
_cell_angle_gamma 90.00
loop_
_atom_site_label
_atom_site_fract_x
_atom_site_fract_y
_atom_site_fract_z
_atom_site_occupancy
Ac1 0.000 0.000 0.000 1
Ac2 0.000 0.000 0.500 1
Ac3 0.000 0.500 0.248 1
Ac4 0.000 0.500 0.752 1
Ac5 0.500 0.000 0.248 1
Ac6 0.500 0.000 0.752 1
La1 0.500 0.500 0.500 1
Pm1 0.500 0.500 0.000 1
```

The 10 most intense peaks (2θ = 10–90°), most intense first:
2θ (°)  I_rel
27.89  1000
32.31  515
54.96  470
46.35  386
74.66  193
76.95  178
85.93  138
57.62  136
67.63  64
15.99  24



5.
Simulated X-ray powder pattern of LiNdTi2O6 for Cu Ka, from a cell relaxed with PBE.

Structure:
```
data_LiNdTi2O6
_chemical_formula_sum 'Li2 Nd2 Ti4 O12'
_space_group_name_H-M_alt 'P 1'
_space_group_IT_number 1
_space_group_name_Hall 'P 1'
_cell_length_a 7.658
_cell_length_b 5.377
_cell_length_c 5.628
_cell_angle_alpha 90.00
_cell_angle_beta 90.00
_cell_angle_gamma 90.00
loop_
_atom_site_label
_atom_site_fract_x
_atom_site_fract_y
_atom_site_fract_z
_atom_site_occupancy
Li1 0.000 0.206 0.000 1
Li2 0.000 0.794 0.500 1
Nd1 0.500 0.234 0.076 1
Nd2 0.500 0.766 0.576 1
Ti1 0.234 0.265 0.600 1
Ti2 0.234 0.735 0.100 1
Ti3 0.766 0.265 0.600 1
Ti4 0.766 0.735 0.100 1
O1 0.000 0.154 0.633 1
O2 0.000 0.846 0.133 1
O3 0.213 0.441 0.939 1
O4 0.213 0.559 0.439 1
O5 0.300 0.044 0.357 1
O6 0.300 0.956 0.857 1
O7 0.500 0.330 0.654 1
O8 0.500 0.670 0.154 1
O9 0.700 0.044 0.357 1
O10 0.700 0.956 0.857 1
O11 0.787 0.441 0.939 1
O12 0.787 0.559 0.439 1
```

The 10 most intense peaks (2θ = 10–90°), most intense first:
2θ (°)  I_rel
11.56  1000
32.83  858
25.70  798
59.25  289
46.73  275
31.80  271
57.31  196
33.33  192
47.49  149
42.36  140



6.
Simulated X-ray powder pattern of La4Tl3Ge for Cu Ka, from a cell relaxed with PBE.

Structure:
```
data_La4Tl3Ge
_chemical_formula_sum 'La4 Tl3 Ge1'
_space_group_name_H-M_alt 'P 1'
_space_group_IT_number 1
_space_group_name_Hall 'P 1'
_cell_length_a 4.004
_cell_length_b 4.004
_cell_length_c 15.062
_cell_angle_alpha 90.00
_cell_angle_beta 90.00
_cell_angle_gamma 90.00
loop_
_atom_site_label
_atom_site_fract_x
_atom_site_fract_y
_atom_site_fract_z
_atom_site_occupancy
La1 0.000 0.000 0.102 1
La2 0.000 0.000 0.368 1
La3 0.000 0.000 0.632 1
La4 0.000 0.000 0.898 1
Tl1 0.500 0.500 0.239 1
Tl2 0.500 0.500 0.500 1
Tl3 0.500 0.500 0.761 1
Ge1 0.500 0.500 0.000 1
```

The 10 most intense peaks (2θ = 10–90°), most intense first:
2θ (°)  I_rel
32.64  1000
31.60  604
56.94  413
45.30  225
58.91  136
28.51  110
75.01  102
75.58  90
68.40  87
65.99  73



7.
Simulated X-ray powder pattern of Ni2Mo for Cu Ka, from a cell relaxed with PBE.

Structure:
```
data_Ni2Mo
_chemical_formula_sum 'Ni4 Mo2'
_space_group_name_H-M_alt 'P 1'
_space_group_IT_number 1
_space_group_name_Hall 'P 1'
_cell_length_a 4.937
_cell_length_b 4.937
_cell_length_c 6.183
_cell_angle_alpha 105.21
_cell_angle_beta 105.21
_cell_angle_gamma 31.10
loop_
_atom_site_label
_atom_site_fract_x
_atom_site_fract_y
_atom_site_fract_z
_atom_site_occupancy
Ni1 0.146 0.146 0.036 1
Ni2 0.197 0.197 0.633 1
Ni3 0.803 0.803 0.367 1
Ni4 0.854 0.854 0.964 1
Mo1 0.478 0.478 0.705 1
Mo2 0.522 0.522 0.295 1
```

The 10 most intense peaks (2θ = 10–90°), most intense first:
2θ (°)  I_rel
45.12  1000
45.36  968
42.80  712
45.75  351
46.22  343
39.58  336
40.41  333
72.94  254
88.93  249
59.92  198